Simulated X-ray powder pattern of PmCoPtO4 for Cu Ka, from a DFT-relaxed cell (PBE+U, Alexandria).

The 12 most intense peaks (2θ = 10–80°), by intensity:
| two_theta | d (Å) | I_rel |
| --- | --- | --- |
| 30.4 | 2.939 | 100 |
| 33.9 | 2.641 | 84 |
| 30.0 | 2.979 | 74 |
| 21.7 | 4.094 | 68 |
| 44.3 | 2.047 | 67 |
| 31.8 | 2.817 | 52 |
| 61.7 | 1.503 | 29 |
| 36.2 | 2.484 | 26 |
| 60.2 | 1.537 | 24 |
| 49.9 | 1.828 | 23 |
| 59.3 | 1.558 | 21 |
| 53.5 | 1.712 | 20 |

Structure:
a = 5.3291 Å, b = 5.3291 Å, c = 7.3121 Å
α = 90.00°, β = 90.00°, γ = 112.02°
Element x y z (fractional)
Pm: 0.0000 0.0000 0.0000
Pm: 0.0000 0.0000 0.5000
Co: 0.3595 0.6405 0.7500
Co: 0.6405 0.3595 0.2500
Pt: 0.2945 0.7055 0.2500
Pt: 0.7055 0.2945 0.7500
O: 0.2507 0.2633 0.2500
O: 0.2633 0.2507 0.7500
O: 0.2695 0.7305 0.5241
O: 0.2695 0.7305 0.9759
O: 0.7305 0.2695 0.0241
O: 0.7305 0.2695 0.4759
O: 0.7367 0.7493 0.2500
O: 0.7493 0.7367 0.7500